[1]
Starting from a crystal structure in Alexandria, relaxed with PBE, the powder XRD pattern of ZnAsBr4 was computed for Cu Kα.
Lines closer than 0.1° are merged.

Most intense lines, 10° ≤ 2θ ≤ 90°, sorted by position:
17.3 deg, intensity 9; 28.4 deg, intensity 24; 33.4 deg, intensity 100; 34.9 deg, intensity 44; 40.6 deg, intensity 6; 50.3 deg, intensity 9; 53.5 deg, intensity 34; 58.7 deg, intensity 30; 69.3 deg, intensity 11; 70.2 deg, intensity 17; 83.5 deg, intensity 21; 87.8 deg, intensity 5

Atomic structure:
a = 6.2894 Å, b = 6.2894 Å, c = 6.2894 Å
α = 60.00°, β = 60.00°, γ = 60.00°
Sites, in units of the cell vectors:
1 Zn 0.0000 0.0000 0.0000
2 As 0.7500 0.7500 0.7500
3 Br 0.3751 0.3751 0.3751
4 Br 0.3751 0.3751 0.8748
5 Br 0.3751 0.8748 0.3751
6 Br 0.8748 0.3751 0.3751



[2]
Starting from a crystal structure in Alexandria, relaxed with PBE, the powder XRD pattern of AsC2 was computed for Cu Kα.
Lines closer than 0.1° are merged.

Most intense lines, 10° ≤ 2θ ≤ 90°, sorted by position:
19.9 deg, intensity 100; 30.1 deg, intensity 10; 40.4 deg, intensity 14; 41.1 deg, intensity 32; 41.5 deg, intensity 19; 43.2 deg, intensity 17; 44.4 deg, intensity 26; 47.6 deg, intensity 21; 49.5 deg, intensity 12; 56.3 deg, intensity 12; 61.6 deg, intensity 9; 78.1 deg, intensity 11

Atomic structure:
a = 9.0415 Å, b = 9.0415 Å, c = 9.0415 Å
α = 16.18°, β = 16.18°, γ = 16.18°
Sites, in units of the cell vectors:
1 As 0.0000 0.0000 0.0000
2 C 0.1667 0.1667 0.1667
3 C 0.8333 0.8333 0.8333